# 1
# EuZn2Sn2
Calculated powder X-ray diffraction pattern, λ = 1.5418 Å (Cu Kα). Input: a cell relaxed with GGA-PBE.
Peak positions follow from Bragg's law for the DFT cell and can differ from measured ones.

Structural model:
```
10
Lattice="4.630 0.000 0.000 0.000 4.630 0.000 0.000 0.000 11.374" Properties=species:S:1:pos:R:3 pbc="T T T"
Eu 1.158 1.158 2.775
Eu 3.473 3.473 8.599
Zn 1.158 1.158 7.262
Zn 1.158 3.473 0.000
Zn 3.473 1.158 0.000
Zn 3.473 3.473 4.113
Sn 1.158 1.158 9.863
Sn 1.158 3.473 5.687
Sn 3.473 1.158 5.687
Sn 3.473 3.473 1.511
```

The 10 most intense peaks (10° ≤ 2θ ≤ 90°), most intense first:
31.53 deg, I = 100, (1 1 2)
38.90 deg, I = 58, (2 0 0)
30.47 deg, I = 52, (1 0 3)
44.37 deg, I = 28, (1 0 5)
50.20 deg, I = 26, (2 1 3)
65.87 deg, I = 25, (3 1 2)
60.45 deg, I = 23, (2 1 5)
56.19 deg, I = 20, (2 2 0)
42.09 deg, I = 17, (1 1 4)
79.03 deg, I = 13, (2 0 8)

# 2
# EuZn2Sn2
Calculated powder X-ray diffraction pattern, λ = 1.5418 Å (Cu Kα). Input: a cell relaxed with GGA-PBE.
Peak positions follow from Bragg's law for the DFT cell and can differ from measured ones.

Structural model:
```
10
Lattice="4.637 0.000 0.000 0.000 4.585 0.000 -0.147 0.000 11.329" Properties=species:S:1:pos:R:3 pbc="T T T"
Eu 1.080 1.146 2.786
Eu 3.410 3.439 8.543
Zn 1.021 3.439 0.009
Zn 1.016 1.146 7.243
Zn 3.473 3.439 4.086
Zn 3.468 1.146 11.320
Sn 1.121 3.439 5.659
Sn 1.166 1.146 9.829
Sn 3.324 3.439 1.500
Sn 3.368 1.146 5.670
```

The 10 most intense peaks (10° ≤ 2θ ≤ 90°), most intense first:
31.54 deg, I = 100, (1 1 -2)
30.69 deg, I = 72, (1 0 3)
31.80 deg, I = 68, (1 1 2)
39.30 deg, I = 48, (0 2 0)
38.85 deg, I = 47, (2 0 0)
56.45 deg, I = 32, (2 2 0)
44.61 deg, I = 25, (0 1 5)
27.36 deg, I = 20, (1 1 0)
65.63 deg, I = 18, (3 1 -2)
61.02 deg, I = 17, (2 1 5)

# 3
# Eu2ZnSn
Calculated powder X-ray diffraction pattern, λ = 1.5418 Å (Cu Kα). Input: a cell relaxed with GGA-PBE.
Peak positions follow from Bragg's law for the DFT cell and can differ from measured ones.

Structural model:
```
16
Lattice="7.852 0.000 0.000 0.000 7.852 0.000 0.000 0.000 7.852" Properties=species:S:1:pos:R:3 pbc="T T T"
Eu 1.963 1.963 1.963
Eu 1.963 1.963 5.889
Eu 1.963 5.889 1.963
Eu 1.963 5.889 5.889
Eu 5.889 1.963 1.963
Eu 5.889 1.963 5.889
Eu 5.889 5.889 1.963
Eu 5.889 5.889 5.889
Zn 0.000 0.000 0.000
Zn 0.000 3.926 3.926
Zn 3.926 0.000 3.926
Zn 3.926 3.926 0.000
Sn 0.000 0.000 3.926
Sn 0.000 3.926 0.000
Sn 3.926 0.000 0.000
Sn 3.926 3.926 3.926
```

The 10 most intense peaks (10° ≤ 2θ ≤ 90°), most intense first:
32.25 deg, I = 100, (2 2 0)
57.50 deg, I = 38, (4 2 2)
46.25 deg, I = 18, (4 0 0)
76.77 deg, I = 17, (6 2 0)
67.48 deg, I = 12, (4 4 0)
22.65 deg, I = 6, (2 0 0)
85.73 deg, I = 4, (4 4 4)
52.09 deg, I = 3, (4 2 0)
19.58 deg, I = 2, (1 1 1)
39.77 deg, I = 2, (2 2 2)

# 4
# SrEu
Calculated powder X-ray diffraction pattern, λ = 1.5418 Å (Cu Kα). Input: a cell relaxed with GGA-PBE.
Peak positions follow from Bragg's law for the DFT cell and can differ from measured ones.

Structural model:
```
2
Lattice="4.107 0.000 0.000 -2.053 3.557 0.000 0.000 0.000 6.798" Properties=species:S:1:pos:R:3 pbc="T T T"
Sr 0.000 0.000 0.000
Eu 0.000 2.371 3.399
```

The 10 most intense peaks (10° ≤ 2θ ≤ 90°), most intense first:
28.32 deg, I = 100, (1 0 1)
25.04 deg, I = 27, (1 0 0)
26.22 deg, I = 26, (0 0 2)
47.58 deg, I = 24, (1 0 3)
52.03 deg, I = 24, (1 1 2)
36.57 deg, I = 20, (1 0 2)
44.10 deg, I = 19, (1 1 0)
53.24 deg, I = 17, (2 0 1)
71.55 deg, I = 14, (2 1 1)
83.64 deg, I = 10, (2 1 3)

# 5
# Sr3Eu
Calculated powder X-ray diffraction pattern, λ = 1.5418 Å (Cu Kα). Input: a cell relaxed with GGA-PBE.
Peak positions follow from Bragg's law for the DFT cell and can differ from measured ones.

Structural model:
```
8
Lattice="8.409 0.000 0.000 -4.204 7.282 0.000 0.000 0.000 6.932" Properties=species:S:1:pos:R:3 pbc="T T T"
Sr 0.000 2.445 1.733
Sr -2.087 6.060 1.733
Sr 2.118 1.223 5.199
Sr 2.087 6.060 1.733
Sr 6.291 1.223 5.199
Sr 4.204 4.837 5.199
Eu 0.000 4.855 5.199
Eu 4.204 2.427 1.733
```

The 10 most intense peaks (10° ≤ 2θ ≤ 90°), most intense first:
27.67 deg, I = 100, (2 0 1)
25.70 deg, I = 27, (0 0 2)
50.80 deg, I = 25, (2 2 2)
46.55 deg, I = 24, (2 0 3)
24.45 deg, I = 23, (2 0 0)
43.03 deg, I = 20, (2 2 0)
51.93 deg, I = 17, (4 0 1)
35.77 deg, I = 17, (2 0 2)
69.66 deg, I = 14, (4 2 1)
81.39 deg, I = 9, (4 2 3)

# 6
# Sr3Eu
Calculated powder X-ray diffraction pattern, λ = 1.5418 Å (Cu Kα). Input: a cell relaxed with GGA-PBE.
Peak positions follow from Bragg's law for the DFT cell and can differ from measured ones.

Structural model:
```
16
Lattice="9.340 0.000 0.000 0.000 9.340 0.000 0.000 0.000 9.340" Properties=species:S:1:pos:R:3 pbc="T T T"
Sr 0.000 0.000 0.000
Sr 0.000 4.670 4.670
Sr 2.335 2.335 2.335
Sr 2.335 2.335 7.005
Sr 2.335 7.005 2.335
Sr 2.335 7.005 7.005
Sr 4.670 0.000 4.670
Sr 4.670 4.670 0.000
Sr 7.005 2.335 2.335
Sr 7.005 2.335 7.005
Sr 7.005 7.005 2.335
Sr 7.005 7.005 7.005
Eu 0.000 0.000 4.670
Eu 0.000 4.670 0.000
Eu 4.670 0.000 0.000
Eu 4.670 4.670 4.670
```

The 10 most intense peaks (10° ≤ 2θ ≤ 90°), most intense first:
27.00 deg, I = 100, (2 2 0)
47.70 deg, I = 42, (4 2 2)
76.30 deg, I = 21, (6 4 2)
38.56 deg, I = 19, (4 0 0)
62.94 deg, I = 18, (6 2 0)
55.67 deg, I = 13, (4 4 0)
88.92 deg, I = 11, (8 2 2)
16.44 deg, I = 5, (1 1 1)
69.76 deg, I = 4, (4 4 4)
31.78 deg, I = 3, (3 1 1)

# 7
# Sr3Eu
Calculated powder X-ray diffraction pattern, λ = 1.5418 Å (Cu Kα). Input: a cell relaxed with GGA-PBE.
Peak positions follow from Bragg's law for the DFT cell and can differ from measured ones.

Structural model:
```
8
Lattice="5.975 0.000 0.000 0.000 5.975 0.000 0.000 0.000 11.898" Properties=species:S:1:pos:R:3 pbc="T T T"
Sr 0.000 0.000 0.000
Sr 0.000 2.988 2.975
Sr 0.000 2.988 8.924
Sr 2.988 0.000 2.975
Sr 2.988 0.000 8.924
Sr 2.988 2.988 5.949
Eu 0.000 0.000 5.949
Eu 2.988 2.988 0.000
```

The 10 most intense peaks (10° ≤ 2θ ≤ 90°), most intense first:
25.86 deg, I = 100, (1 1 2)
42.87 deg, I = 39, (2 2 0)
29.91 deg, I = 35, (2 0 0)
50.69 deg, I = 31, (3 1 2)
30.04 deg, I = 17, (0 0 4)
50.87 deg, I = 15, (1 1 6)
53.18 deg, I = 14, (2 2 4)
68.60 deg, I = 13, (3 1 6)
70.52 deg, I = 12, (4 2 0)
78.48 deg, I = 9, (4 2 4)

# 8
# Sr3Eu
Calculated powder X-ray diffraction pattern, λ = 1.5418 Å (Cu Kα). Input: a cell relaxed with GGA-PBE.
Peak positions follow from Bragg's law for the DFT cell and can differ from measured ones.

Structural model:
```
4
Lattice="5.983 0.000 0.000 0.000 5.983 0.000 0.000 0.000 5.983" Properties=species:S:1:pos:R:3 pbc="T T T"
Sr 0.000 0.000 2.991
Sr 0.000 2.991 0.000
Sr 2.991 0.000 0.000
Eu 2.991 2.991 2.991
```

The 10 most intense peaks (10° ≤ 2θ ≤ 90°), most intense first:
25.79 deg, I = 100, (1 1 1)
29.87 deg, I = 52, (2 0 0)
50.60 deg, I = 47, (3 1 1)
42.75 deg, I = 39, (2 2 0)
68.34 deg, I = 19, (3 3 1)
70.37 deg, I = 18, (4 2 0)
84.06 deg, I = 15, (5 1 1)
53.02 deg, I = 14, (2 2 2)
78.28 deg, I = 13, (4 2 2)
62.05 deg, I = 6, (4 0 0)